Record 1
Calculated powder diffractogram
Compound: Hf3MgRh4
Radiation: CuKα
Structure: DFT lattice parameters and positions (PBE)

Top 8 peaks for 2θ = 10–90°, low angle first:
2theta	d/Å	Rel. int.	index
11.85	7.468	6.1	0 0 3
22.74	3.910	6.0	1 0 1
23.79	3.741	5.7	0 1 2
39.33	2.291	100.0	1 1 0
56.84	1.620	16.7	2 0 8
71.27	1.323	25.7	3 0 0
71.43	1.321	7.6	1 0 16
84.53	1.146	5.6	2 2 0

Structural model:
```
data_Hf3MgRh4
_chemical_formula_sum 'Hf9 Mg3 Rh12'
_space_group_name_H-M_alt 'R -3 m'
_space_group_IT_number 166
_space_group_name_Hall '-R 3 2"'
_cell_length_a 4.5851
_cell_length_b 4.5851
_cell_length_c 22.4048
_cell_angle_alpha 90.00
_cell_angle_beta 90.00
_cell_angle_gamma 120.00
loop_
_atom_site_label
_atom_site_fract_x
_atom_site_fract_y
_atom_site_fract_z
Hf1 0.0000 0.0000 0.0000
Hf2 0.0000 0.0000 0.2455
Mg1 0.0000 0.0000 0.5000
Rh1 0.0000 0.0000 0.1215
Rh2 0.0000 0.0000 0.3715
```

---

Record 2
Calculated powder diffractogram
Compound: HfMg3Rh4
Radiation: CuKα
Structure: DFT lattice parameters and positions (PBE)

Top 8 peaks for 2θ = 10–90°, low angle first:
2theta	d/Å	Rel. int.	index
12.18	7.265	30.2	0 0 3
23.35	3.809	21.1	1 0 1
24.44	3.643	24.3	0 1 2
28.29	3.154	17.0	1 0 4
40.38	2.233	100.0	1 1 0
40.50	2.227	98.8	0 1 8
58.52	1.577	33.0	2 0 8
73.48	1.289	49.7	3 0 0

Structural model:
```
data_HfMg3Rh4
_chemical_formula_sum 'Hf3 Mg9 Rh12'
_space_group_name_H-M_alt 'R -3 m'
_space_group_IT_number 166
_space_group_name_Hall '-R 3 2"'
_cell_length_a 4.4669
_cell_length_b 4.4669
_cell_length_c 21.7946
_cell_angle_alpha 90.00
_cell_angle_beta 90.00
_cell_angle_gamma 120.00
loop_
_atom_site_label
_atom_site_fract_x
_atom_site_fract_y
_atom_site_fract_z
Hf1 0.0000 0.0000 0.0000
Mg1 0.0000 0.0000 0.2469
Mg2 0.0000 0.0000 0.5000
Rh1 0.0000 0.0000 0.1235
Rh2 0.0000 0.0000 0.3743
```

---

Record 3
Calculated powder diffractogram
Compound: Hf2MgTi2Rh5
Radiation: CuKα
Structure: DFT lattice parameters and positions (PBE)

Top 8 peaks for 2θ = 10–90°, low angle first:
2theta	d/Å	Rel. int.	index
30.97	2.887	26.5	2 0 1
32.38	2.765	65.9	2 1 1
38.61	2.332	81.4	4 1 0
38.72	2.326	100.0	3 1 1
39.78	2.266	34.0	3 3 0
42.10	2.146	55.0	3 2 1
50.55	1.805	27.2	0 0 2
65.37	1.428	34.4	4 1 2

Structural model:
```
data_Hf2MgTi2Rh5
_chemical_formula_sum 'Hf4 Mg2 Ti4 Rh10'
_space_group_name_H-M_alt 'P 4/m b m'
_space_group_IT_number 127
_space_group_name_Hall '-P 4 2ab'
_cell_length_a 9.6138
_cell_length_b 9.6138
_cell_length_c 3.6109
_cell_angle_alpha 90.00
_cell_angle_beta 90.00
_cell_angle_gamma 90.00
loop_
_atom_site_label
_atom_site_fract_x
_atom_site_fract_y
_atom_site_fract_z
Hf1 0.1759 0.3241 0.0000
Mg1 0.0000 0.0000 0.0000
Ti1 0.1235 0.6235 0.0000
Rh1 0.0000 0.5000 0.5000
Rh2 0.0679 0.7942 0.5000
```

---

Record 4
Calculated powder diffractogram
Compound: Hf3MgRu4
Radiation: CuKα
Structure: DFT lattice parameters and positions (PBE)

Top 8 peaks for 2θ = 10–90°, low angle first:
2theta	d/Å	Rel. int.	index
13.86	6.391	7.9	0 0 2
39.45	2.284	51.6	1 1 0
39.67	2.272	100.0	1 0 4
57.02	1.615	17.5	2 0 0
57.70	1.598	7.9	0 0 8
71.70	1.316	34.6	2 1 4
72.15	1.309	16.2	1 1 8
85.48	1.136	10.5	2 0 8

Structural model:
```
data_Hf3MgRu4
_chemical_formula_sum 'Hf3 Mg1 Ru4'
_space_group_name_H-M_alt 'P 4/m m m'
_space_group_IT_number 123
_space_group_name_Hall '-P 4 2'
_cell_length_a 3.2303
_cell_length_b 3.2303
_cell_length_c 12.7825
_cell_angle_alpha 90.00
_cell_angle_beta 90.00
_cell_angle_gamma 90.00
loop_
_atom_site_label
_atom_site_fract_x
_atom_site_fract_y
_atom_site_fract_z
Hf1 0.0000 0.0000 0.0000
Hf2 0.0000 0.0000 0.2581
Mg1 0.0000 0.0000 0.5000
Ru1 0.5000 0.5000 0.1251
Ru2 0.5000 0.5000 0.3740
```

---

Record 5
Calculated powder diffractogram
Compound: HfMg2S4
Radiation: CuKα
Structure: DFT lattice parameters and positions (PBE)

Top 8 peaks for 2θ = 10–90°, low angle first:
2theta	d/Å	Rel. int.	index
11.68	7.574	43.9	1 0 0
14.37	6.163	100.0	1 0 1
18.56	4.780	74.2	1 1 1
20.45	4.342	36.4	1 0 2
27.65	3.227	66.4	2 1 1
33.46	2.678	70.0	2 2 0
33.83	2.650	34.7	0 0 4
48.32	1.884	64.4	2 2 4

Structural model:
```
data_HfMg2S4
_chemical_formula_sum 'Hf4 Mg8 S16'
_space_group_name_H-M_alt 'P 41 2 2'
_space_group_IT_number 91
_cell_length_a 7.5742
_cell_length_b 7.5742
_cell_length_c 10.6000
_cell_angle_alpha 90.00
_cell_angle_beta 90.00
_cell_angle_gamma 90.00
loop_
_space_group_symop_operation_xyz
'x,y,z'
'-y,x,z+1/4'
'-x,-y,z+1/2'
'y,-x,z+3/4'
'x,-y,-z+1/2'
'-y,-x,-z+1/4'
'-x,y,-z'
'y,x,-z+3/4'
loop_
_atom_site_label
_atom_site_fract_x
_atom_site_fract_y
_atom_site_fract_z
Hf1 0.0000 0.2618 0.0000
Mg1 0.2510 0.2510 0.3750
Mg2 0.2519 0.5000 0.7500
S1 0.0154 0.2423 0.7594
S2 0.2461 0.4811 0.9956
```

---

Record 6
Calculated powder diffractogram
Compound: HfMg14Sb
Radiation: CuKα
Structure: DFT lattice parameters and positions (PBE)

Top 8 peaks for 2θ = 10–90°, low angle first:
2theta	d/Å	Rel. int.	index
15.99	5.543	70.8	1 0 0
23.62	3.766	53.4	1 0 2
32.30	2.771	32.4	2 0 0
32.98	2.716	23.9	1 1 2
34.96	2.566	24.6	0 0 4
36.86	2.439	100.0	2 0 2
46.84	1.940	19.5	2 1 2
48.33	1.883	20.7	2 0 4

Structural model:
```
data_HfMg14Sb
_chemical_formula_sum 'Hf1 Mg14 Sb1'
_space_group_name_H-M_alt 'P -6 m 2'
_space_group_IT_number 187
_space_group_name_Hall 'P -6 2'
_cell_length_a 6.4004
_cell_length_b 6.4004
_cell_length_c 10.2656
_cell_angle_alpha 90.00
_cell_angle_beta 90.00
_cell_angle_gamma 120.00
loop_
_atom_site_label
_atom_site_fract_x
_atom_site_fract_y
_atom_site_fract_z
Hf1 0.0000 0.0000 0.0000
Mg1 0.0067 0.5033 0.0000
Mg2 0.1627 0.3254 0.2469
Mg3 0.5015 0.0031 0.5000
Mg4 0.6667 0.3333 0.2446
Sb1 0.0000 0.0000 0.5000
```

---

Record 7
Calculated powder diffractogram
Compound: HfMg2Sc3
Radiation: CuKα
Structure: DFT lattice parameters and positions (PBE)

Top 8 peaks for 2θ = 10–90°, low angle first:
2theta	d/Å	Rel. int.	index
13.25	6.680	43.5	0 0 2
28.36	3.147	26.8	1 0 1
30.69	2.913	21.5	1 0 2
34.24	2.619	100.0	1 0 3
39.36	2.289	33.8	1 1 0
40.51	2.227	15.4	0 0 6
57.76	1.596	20.9	1 1 6
68.09	1.377	25.2	2 1 3

Structural model:
```
data_HfMg2Sc3
_chemical_formula_sum 'Hf1 Mg2 Sc3'
_space_group_name_H-M_alt 'P 4/m m m'
_space_group_IT_number 123
_space_group_name_Hall '-P 4 2'
_cell_length_a 3.2377
_cell_length_b 3.2377
_cell_length_c 13.3593
_cell_angle_alpha 90.00
_cell_angle_beta 90.00
_cell_angle_gamma 90.00
loop_
_atom_site_label
_atom_site_fract_x
_atom_site_fract_y
_atom_site_fract_z
Hf1 0.0000 0.0000 0.0000
Mg1 0.0000 0.0000 0.3345
Sc1 0.5000 0.5000 0.1616
Sc2 0.5000 0.5000 0.5000
```

---

Record 8
Calculated powder diffractogram
Compound: Hf12MgSc6
Radiation: CuKα
Structure: DFT lattice parameters and positions (PBE)

Top 8 peaks for 2θ = 10–90°, low angle first:
2theta	d/Å	Rel. int.	index
13.01	6.804	38.6	0 1 0
13.16	6.727	34.6	1 -1 0
13.74	6.443	37.0	0 1 -1
35.15	2.553	48.7	-3 1 1
35.54	2.526	43.9	-3 2 1
36.01	2.494	45.3	-1 1 3
36.24	2.479	100.0	1 2 0
38.95	2.312	45.5	2 -1 2

Structural model:
```
data_Hf12MgSc6
_chemical_formula_sum 'Hf12 Mg1 Sc6'
_space_group_name_H-M_alt 'P -1'
_space_group_IT_number 2
_cell_length_a 7.7611
_cell_length_b 8.1951
_cell_length_c 8.7583
_cell_angle_alpha 100.44
_cell_angle_beta 108.17
_cell_angle_gamma 116.37
loop_
_space_group_symop_operation_xyz
'x,y,z'
'-x,-y,-z'
loop_
_atom_site_label
_atom_site_fract_x
_atom_site_fract_y
_atom_site_fract_z
Hf1 0.0313 0.4221 0.2139
Hf2 0.1580 0.4323 0.5917
Hf3 0.2277 0.8309 0.1769
Hf4 0.2572 0.4238 0.9654
Hf5 0.3235 0.8351 0.5436
Hf6 0.4640 0.2683 0.6758
Mg1 0.0000 0.0000 0.0000
Sc1 0.0254 0.9972 0.6715
Sc2 0.3751 0.3221 0.3258
Sc3 0.4965 0.8170 0.9504
```